Record 1
Diffraction record for SbO2. The powder X-ray diffraction pattern is calculated, not measured: it uses a GGA-PBE-relaxed structure and Cu Kα X-rays.
Peak positions follow from Bragg's law for the DFT cell and can differ from measured ones.

The 10 most intense peaks (10 to 90 degrees two-theta), in order of rising 2θ:
two_theta, Rel. int.
15.5, 100
16.9, 61
30.3, 26
31.2, 30
31.3, 12
32.7, 21
34.3, 22
37.3, 22
38.4, 44
54.6, 26

Crystal structure
```
12
Lattice="-3.116 3.567 4.817 3.116 -3.567 4.817 3.116 3.567 -4.817" Properties=species:S:1:pos:R:3 pbc="T T T"
Sb 0.000 0.000 0.000
Sb -1.558 1.784 2.409
Sb 0.000 3.567 0.000
Sb 1.558 1.784 2.409
O 1.455 1.784 0.423
O 1.661 -1.784 5.240
O 0.000 0.425 2.358
O 3.116 0.425 2.460
O 0.000 3.143 2.358
O 3.116 3.143 2.460
O 1.455 5.351 -0.423
O 1.661 1.784 4.394
```

---

Record 2
Diffraction record for CeAl. The powder X-ray diffraction pattern is calculated, not measured: it uses a GGA-PBE-relaxed structure and Cu Kα X-rays.
Peak positions follow from Bragg's law for the DFT cell and can differ from measured ones.

The 10 most intense peaks (10 to 90 degrees two-theta), in order of rising 2θ:
two_theta, Rel. int.
19.0, 43
23.8, 29
29.1, 53
30.6, 23
33.4, 37
35.0, 57
35.4, 100
38.6, 27
41.4, 24
53.2, 24

Crystal structure
```
8
Lattice="4.680 -3.740 0.000 4.680 3.740 0.000 0.000 0.000 5.372" Properties=species:S:1:pos:R:3 pbc="T T T"
Ce 1.789 1.328 1.343
Ce 1.789 -1.328 4.029
Ce 7.570 1.328 1.343
Ce 7.570 -1.328 4.029
Al 4.680 2.442 1.343
Al 4.680 0.000 0.000
Al 4.680 0.000 2.686
Al 4.680 -2.442 4.029
```

---

Record 3
Diffraction record for SmInIr. The powder X-ray diffraction pattern is calculated, not measured: it uses a GGA-PBE-relaxed structure and Cu Kα X-rays.
Peak positions follow from Bragg's law for the DFT cell and can differ from measured ones.

The 10 most intense peaks (10 to 90 degrees two-theta), in order of rising 2θ:
two_theta, Rel. int.
23.5, 16
32.4, 77
35.2, 100
36.2, 33
41.2, 44
42.7, 40
44.8, 27
62.5, 26
66.2, 33
76.2, 20

Crystal structure
```
9
Lattice="7.582 0.000 0.000 -3.791 6.566 0.000 0.000 0.000 4.049" Properties=species:S:1:pos:R:3 pbc="T T T"
Sm -1.547 2.680 0.000
Sm 3.094 0.000 0.000
Sm 2.244 3.887 0.000
In -2.830 4.901 2.024
In 0.961 1.665 2.024
In 5.659 0.000 2.024
Ir 0.000 0.000 0.000
Ir 0.000 4.378 2.024
Ir 3.791 2.189 2.024
```

---

Copy entry 1 word for word.
Diffraction record for SbO2. The powder X-ray diffraction pattern is calculated, not measured: it uses a GGA-PBE-relaxed structure and Cu Kα X-rays.
Peak positions follow from Bragg's law for the DFT cell and can differ from measured ones.

The 10 most intense peaks (10 to 90 degrees two-theta), in order of rising 2θ:
two_theta, Rel. int.
15.5, 100
16.9, 61
30.3, 26
31.2, 30
31.3, 12
32.7, 21
34.3, 22
37.3, 22
38.4, 44
54.6, 26

Crystal structure
```
12
Lattice="-3.116 3.567 4.817 3.116 -3.567 4.817 3.116 3.567 -4.817" Properties=species:S:1:pos:R:3 pbc="T T T"
Sb 0.000 0.000 0.000
Sb -1.558 1.784 2.409
Sb 0.000 3.567 0.000
Sb 1.558 1.784 2.409
O 1.455 1.784 0.423
O 1.661 -1.784 5.240
O 0.000 0.425 2.358
O 3.116 0.425 2.460
O 0.000 3.143 2.358
O 3.116 3.143 2.460
O 1.455 5.351 -0.423
O 1.661 1.784 4.394
```